Calculated X-ray powder pattern
Compound: ThFeSbO6
Radiation: Cu Kα X-rays
Structure: the PBE+U geometry in Alexandria
Peak positions follow from Bragg's law for the DFT cell and can differ from measured ones.

Structural model:
a b c (Å): 5.0046 5.0046 9.6931
angles (deg): 90.00 90.00 90.00
Fractional positions:
Th  0.0000  0.0000  0.0000
Th  0.5000  0.5000  0.5000
Fe  0.0000  0.0000  0.3336
Fe  0.5000  0.5000  0.8336
Sb  0.0000  0.0000  0.6649
Sb  0.5000  0.5000  0.1649
O  0.1712  0.1712  0.4945
O  0.1997  0.1997  0.8098
O  0.2105  0.2105  0.1749
O  0.2895  0.7105  0.6749
O  0.3003  0.6997  0.3098
O  0.3288  0.6712  0.9945
O  0.6712  0.3288  0.9945
O  0.6997  0.3003  0.3098
O  0.7105  0.2895  0.6749
O  0.7895  0.7895  0.1749
O  0.8003  0.8003  0.8098
O  0.8288  0.8288  0.4945

Largest 10 diffraction maxima, by angle, 2θ = 10–90°:
2θ/deg, d/Å, intensity, (hkl)
20.0, 4.447, 34, 1 0 1
25.2, 3.539, 100, 1 1 0
31.3, 2.858, 15, 1 1 2
33.0, 2.714, 78, 1 0 3
35.9, 2.502, 25, 2 0 0
49.5, 1.840, 66, 2 1 3
51.7, 1.769, 17, 2 2 0
58.3, 1.583, 16, 3 1 0
62.7, 1.482, 19, 3 0 3
63.3, 1.470, 15, 1 1 6